1.
This entry pairs a crystal structure of KMg3Si4O12 with its calculated powder diffractogram. Radiation: Cu Ka. Structure: the GGA-PBE geometry in the Materials Project.
No peak broadening, texture or thermal motion is included.

Most intense lines, 2θ from 10° to 90°, by angle:
index	2θ (°)	I (rel.)
0 2 3	23.31	59
1 1 -4	24.96	98
0 0 6	25.81	80
1 1 4	26.92	99
0 2 5	29.07	79
1 3 1	34.37	98
2 0 -4	36.75	48
1 3 3	36.92	100
1 3 5	41.29	58
1 3 9	53.93	67
3 3 -1	60.40	62
1 3 -13	67.27	50

Cell and atoms:
Lattice parameters (Å, degrees): 5.3170 9.1568 20.7920 90.00 94.96 90.00
Space group C2/c (No. 15)
Symmetry-distinct sites (fractional):
1 K 0.0000 0.0859 0.2500 (multiplicity 4)
2 Mg 0.2464 0.0827 0.0000 (multiplicity 8)
3 Mg 0.2500 0.2500 0.5000 (multiplicity 4)
4 Si 0.0320 0.4203 0.3668 (multiplicity 8)
5 Si 0.0345 0.2467 0.8669 (multiplicity 8)
6 O 0.0226 0.4133 0.8350 (multiplicity 8)
7 O 0.0543 0.4153 0.4443 (multiplicity 8)
8 O 0.0634 0.0787 0.4526 (multiplicity 8)
9 O 0.0643 0.2546 0.9445 (multiplicity 8)
10 O 0.2259 0.1622 0.6634 (multiplicity 8)
11 O 0.2294 0.3383 0.1647 (multiplicity 8)


2.
This entry pairs a crystal structure of KMg3Si4O12 with its calculated powder diffractogram. Radiation: Cu Ka. Structure: the GGA-PBE geometry in the Materials Project.
No peak broadening, texture or thermal motion is included.

Most intense lines, 2θ from 10° to 90°, by angle:
index	2θ (°)	I (rel.)
1 0 2	20.10	37
1 0 4	22.29	68
0 0 9	24.99	30
1 0 6	25.56	100
1 0 8	29.57	25
2 -1 2	34.25	30
1 1 4	35.64	84
1 1 7	39.23	66
1 1 13	50.52	25
1 1 16	57.64	26
3 0 0	60.42	26
4 -2 4	72.16	27

Cell and atoms:
Lattice parameters (Å, degrees): 5.3077 5.3077 32.0660 90.00 90.00 120.00
Space group P3_112 (No. 151)
Symmetry-distinct sites (fractional):
1 K 0.0537 0.1075 0.1667 (multiplicity 3)
2 Mg 0.2185 0.1092 0.0000 (multiplicity 3)
3 Mg 0.2197 0.4394 0.6667 (multiplicity 3)
4 Mg 0.5553 0.1107 0.6667 (multiplicity 3)
5 Si 0.2304 0.4610 0.4197 (multiplicity 6)
6 Si 0.5618 0.1250 0.9136 (multiplicity 6)
7 O 0.2071 0.5927 0.2264 (multiplicity 6)
8 O 0.2138 0.1035 0.3031 (multiplicity 6)
9 O 0.2293 0.4602 0.3696 (multiplicity 6)
10 O 0.3870 0.1039 0.5606 (multiplicity 6)
11 O 0.4034 0.1029 0.1067 (multiplicity 6)
12 O 0.5514 0.1209 0.9636 (multiplicity 6)


3.
This entry pairs a crystal structure of KMg3Si4O12 with its calculated powder diffractogram. Radiation: Cu Ka. Structure: the GGA-PBE geometry in the Materials Project.
No peak broadening, texture or thermal motion is included.

Most intense lines, 2θ from 10° to 90°, by angle:
index	2θ (°)	I (rel.)
1 1 -2	24.46	75
0 2 2	25.94	100
0 0 3	26.07	65
1 1 2	27.95	96
1 1 -3	30.63	54
1 3 0	33.81	32
1 3 -1	34.28	87
2 0 0	34.54	48
2 0 1	36.96	85
1 3 -3	41.46	57
1 3 -5	54.41	44
3 3 -1	60.84	47

Cell and atoms:
Lattice parameters (Å, degrees): 5.2530 9.2513 10.3724 90.00 98.66 90.00
Space group C2/m (No. 12)
Symmetry-distinct sites (fractional):
1 K 0.0000 0.0000 0.0000 (multiplicity 2)
2 Mg 0.0000 0.1656 0.5000 (multiplicity 4)
3 Mg 0.0000 0.5000 0.5000 (multiplicity 2)
4 Si 0.0748 0.3330 0.2296 (multiplicity 8)
5 O 0.0309 0.5000 0.1701 (multiplicity 4)
6 O 0.1176 0.3298 0.3859 (multiplicity 8)
7 O 0.1284 0.0000 0.4078 (multiplicity 4)
8 O 0.1813 0.2371 0.8348 (multiplicity 8)


Number 2 is which compound?
KMg3Si4O12